Structure and calculated powder XRD pattern of Na6NiO4 (a DFT-relaxed cell (GGA+U, Alexandria); λ = 1.5418 Å (Cu Kα)).
No peak broadening, texture or thermal motion is included.

a b c (Å): 7.6473 7.6473 5.8898
angles (deg): 90.01 90.01 119.96
Fractional positions:
Na  0.0344  0.5682  0.5014
Na  0.0382  0.9618  0.5000
Na  0.2170  0.3590  0.3283
Na  0.3573  0.6426  0.8297
Na  0.3590  0.2170  0.8283
Na  0.4238  0.9615  0.4962
Na  0.5682  0.0344  0.0014
Na  0.6402  0.7816  0.3299
Na  0.6426  0.3573  0.3297
Na  0.7816  0.6402  0.8299
Na  0.9618  0.0382  0.0000
Na  0.9615  0.4238  0.9962
Ni  0.1632  0.8313  0.1073
Ni  0.8313  0.1632  0.6073
O  0.1210  0.3127  0.7158
O  0.1706  0.8352  0.7702
O  0.3127  0.1210  0.2158
O  0.3131  0.6928  0.2167
O  0.6875  0.8737  0.7196
O  0.6928  0.3131  0.7167
O  0.8352  0.1706  0.2702
O  0.8737  0.6875  0.2196

Most intense lines, 5 to 70 degrees two-theta, in order of falling intensity:
2θ (°)  intensity
39.1  100
13.4  64
20.2  58
47.6  58
41.0  43
33.3  33
38.6  27
48.4  22
43.8  19
54.3  18